Computed X-ray powder pattern of Sm2Y3 for λ = 1.5418 Å (Cu Kα), from a PBE-relaxed structure.
Lines closer than 0.1° are merged.

Top 12 peaks for 10° ≤ 2θ ≤ 90°, sorted by position:
d (Å)	I/Imax
5.077	4
3.172	24
2.867	24
2.776	100
2.127	15
1.831	19
1.637	20
1.543	22
1.529	16
1.221	8
1.173	13
1.129	8

Cell: 12.0406 6.3416 9.3045 Å, 90.00 110.33 90.00°
Space group C2/c (No. 15)
One atom of each set of equivalent atoms:
Sm (0.0995, 0.1671, 0.4496) (multiplicity 8)
Y (0.0000, 0.3334, 0.7500) (multiplicity 4)
Y (0.2008, 0.3349, 0.1502) (multiplicity 8)


Computed X-ray powder pattern of KRb2PS4 for λ = 1.5418 Å (Cu Kα), from a PBE-relaxed structure.
Lines closer than 0.1° are merged.

Top 12 peaks for 10° ≤ 2θ ≤ 90°, sorted by position:
d (Å)	I/Imax
3.835	67
3.627	100
3.552	25
3.063	37
2.986	35
2.844	24
2.305	32
2.209	19
2.187	19
1.924	16
1.849	16
1.815	28

Cell: 12.3455 11.9444 8.9648 Å, 90.00 125.99 90.00°
Space group C2/c (No. 15)
One atom of each set of equivalent atoms:
K (0.0000, 0.0000, 0.0000) (multiplicity 4)
Rb (0.0000, 0.5000, 0.0000) (multiplicity 4)
Rb (0.2500, 0.2500, 0.0000) (multiplicity 4)
P (0.2500, 0.2500, 0.5000) (multiplicity 4)
S (0.1083, 0.2467, 0.5693) (multiplicity 8)
S (0.2374, 0.0702, 0.4746) (multiplicity 8)


Computed X-ray powder pattern of Er7Al2Sn2 for λ = 1.5418 Å (Cu Kα), from a PBE-relaxed structure.
Lines closer than 0.1° are merged.

Top 12 peaks for 10° ≤ 2θ ≤ 90°, sorted by position:
d (Å)	I/Imax
3.443	43
3.272	46
3.142	98
3.011	31
2.714	96
2.555	33
2.489	58
2.430	100
1.927	27
1.918	28
1.637	38
1.378	32

Cell: 7.7065 10.8518 7.6646 Å, 90.00 90.00 90.00°
Space group Cmmm (No. 65)
One atom of each set of equivalent atoms:
Er (0.0000, 0.0000, 0.0000) (multiplicity 2)
Er (0.0000, 0.5000, 0.2798) (multiplicity 4)
Er (0.2500, 0.2500, 0.2922) (multiplicity 8)
Al (0.1698, 0.0000, 0.5000) (multiplicity 4)
Sn (0.0000, 0.2988, 0.0000) (multiplicity 4)


Computed X-ray powder pattern of AlTcIrRu2 for λ = 1.5418 Å (Cu Kα), from a PBE-relaxed structure.
Lines closer than 0.1° are merged.

Top 12 peaks for 10° ≤ 2θ ≤ 90°, sorted by position:
d (Å)	I/Imax
4.308	3
3.072	10
3.046	5
2.501	100
2.191	21
2.154	40
1.764	4
1.536	27
1.523	13
1.317	13
1.301	25
1.251	14

Cell: 4.3082 4.3082 4.3818 Å, 90.00 90.00 90.00°
Space group P4/mmm (No. 123)
One atom of each set of equivalent atoms:
Al (0.0000, 0.0000, 0.0000) (multiplicity 1)
Tc (0.0000, 0.0000, 0.5000) (multiplicity 1)
Ir (0.5000, 0.5000, 0.5000) (multiplicity 1)
Ru (0.0000, 0.5000, 0.0000) (multiplicity 2)


Computed X-ray powder pattern of Cd5Rh3 for λ = 1.5418 Å (Cu Kα), from a PBE-relaxed structure.
Lines closer than 0.1° are merged.

Top 12 peaks for 10° ≤ 2θ ≤ 90°, sorted by position:
d (Å)	I/Imax
2.379	100
2.181	20
2.151	18
1.888	11
1.532	12
1.427	9
1.419	9
1.294	14
1.281	11
1.189	10
1.164	8
1.091	2

Cell: 7.5500 8.6033 4.3625 Å, 90.00 90.00 90.00°
Space group Cmmm (No. 65)
One atom of each set of equivalent atoms:
Cd (0.0000, 0.0000, 0.0000) (multiplicity 2)
Cd (0.2221, 0.5000, 0.5000) (multiplicity 4)
Cd (0.2500, 0.2500, 0.0000) (multiplicity 4)
Rh (0.0000, 0.2288, 0.5000) (multiplicity 4)
Rh (0.0000, 0.5000, 0.0000) (multiplicity 2)


Computed X-ray powder pattern of Dy3Cd11 for λ = 1.5418 Å (Cu Kα), from a PBE-relaxed structure.
Lines closer than 0.1° are merged.

Top 12 peaks for 10° ≤ 2θ ≤ 90°, sorted by position:
d (Å)	I/Imax
2.895	30
2.772	16
2.763	30
2.748	100
2.638	33
2.581	50
2.380	54
2.332	50
1.804	29
1.448	36
1.435	13
1.098	14

Cell: 4.7601 10.9399 12.8039 Å, 90.00 90.00 90.00°
Space group Immm (No. 71)
One atom of each set of equivalent atoms:
Dy (0.0000, 0.0000, 0.0000) (multiplicity 2)
Dy (0.0000, 0.0000, 0.2849) (multiplicity 4)
Cd (0.0000, 0.1602, 0.5000) (multiplicity 4)
Cd (0.0000, 0.2769, 0.1496) (multiplicity 8)
Cd (0.0000, 0.3725, 0.3644) (multiplicity 8)
Cd (0.0000, 0.5000, 0.0000) (multiplicity 2)


Computed X-ray powder pattern of Ac2ZnRhAu6 for λ = 1.5418 Å (Cu Kα), from a PBE-relaxed structure.
Lines closer than 0.1° are merged.

Top 12 peaks for 10° ≤ 2θ ≤ 90°, sorted by position:
d (Å)	I/Imax
3.378	24
3.349	33
3.258	27
3.196	25
2.683	13
2.383	17
2.376	19
2.353	100
2.332	38
2.279	25
2.120	25
1.679	19

Cell: 12.7831 5.4577 9.2591 Å, 90.00 133.15 90.00°
Space group C2/m (No. 12)
One atom of each set of equivalent atoms:
Ac (0.2224, 0.0000, 0.1900) (multiplicity 4)
Zn (0.0000, 0.0000, 0.5000) (multiplicity 2)
Rh (0.0000, 0.5000, 0.0000) (multiplicity 2)
Au (0.0135, 0.2522, 0.7524) (multiplicity 8)
Au (0.2486, 0.5000, 0.3992) (multiplicity 4)


Computed X-ray powder pattern of MgCo6Ge4 for λ = 1.5418 Å (Cu Kα), from a PBE-relaxed structure.
Lines closer than 0.1° are merged.

Top 12 peaks for 10° ≤ 2θ ≤ 90°, sorted by position:
d (Å)	I/Imax
4.978	59
3.015	27
2.579	17
2.489	56
2.132	38
1.988	42
1.959	100
1.907	24
1.750	21
1.443	16
1.289	12
1.142	14

Cell: 6.0301 6.0301 8.8225 Å, 90.00 90.00 90.00°
Space group I-42m (No. 121)
One atom of each set of equivalent atoms:
Mg (0.0000, 0.0000, 0.0000) (multiplicity 2)
Co (0.0000, 0.5000, 0.0000) (multiplicity 4)
Co (0.1589, 0.1589, 0.5860) (multiplicity 8)
Ge (0.2091, 0.2091, 0.3129) (multiplicity 8)